Record 1
# Rb2NaI2Br6
Theoretical powder X-ray diffraction pattern, a wavelength of 1.5418 Å. Input: the PBE geometry in Alexandria.

Top 10 peaks for 10° ≤ 2θ ≤ 90°, by angle:
hkl 1 1 0, d = 6.720 Å, 13.2°, rel. 39.9
hkl 1 1 1, d = 4.473 Å, 19.8°, rel. 43.8
hkl 4 0 -2, d = 3.694 Å, 24.1°, rel. 54.0
hkl 3 1 -2, d = 3.663 Å, 24.3°, rel. 100.0
hkl 0 2 1, d = 3.408 Å, 26.1°, rel. 69.8
hkl 4 2 -1, d = 2.798 Å, 32.0°, rel. 49.3
hkl 2 0 2, d = 2.755 Å, 32.5°, rel. 37.3
hkl 6 0 0, d = 2.332 Å, 38.6°, rel. 30.2
hkl 2 2 -3, d = 2.298 Å, 39.2°, rel. 28.3
hkl 3 3 -2, d = 2.180 Å, 41.4°, rel. 34.0

Atomic structure:
```
data_Rb2NaI2Br6
_chemical_formula_sum 'Rb4 Na2 I4 Br12'
_space_group_name_H-M_alt 'C 1 2/m 1'
_space_group_IT_number 12
_space_group_name_Hall '-C 2y'
_cell_length_a 16.413
_cell_length_b 7.662
_cell_length_c 8.778
_cell_angle_alpha 90.00
_cell_angle_beta 121.51
_cell_angle_gamma 90.00
loop_
_atom_site_label
_atom_site_type_symbol
_atom_site_fract_x
_atom_site_fract_y
_atom_site_fract_z
Rb1 Rb 0.228 0.000 0.275
Na1 Na 0.000 0.000 0.500
I1 I 0.076 0.500 0.860
Br1 Br 0.089 0.255 0.386
Br2 Br 0.243 0.000 0.867
```

Record 2
# Na6SeI2Br2
Theoretical powder X-ray diffraction pattern, a wavelength of 1.5418 Å. Input: the PBE geometry in Alexandria.

Top 10 peaks for 10° ≤ 2θ ≤ 90°, by angle:
hkl 1 1 0, d = 6.372 Å, 13.9°, rel. 20.6
hkl 0 2 1, d = 4.860 Å, 18.3°, rel. 23.9
hkl 0 0 2, d = 3.657 Å, 24.3°, rel. 53.9
hkl 1 3 -1, d = 3.610 Å, 24.7°, rel. 45.7
hkl 2 0 -2, d = 3.262 Å, 27.3°, rel. 59.4
hkl 1 3 1, d = 3.093 Å, 28.9°, rel. 100.0
hkl 3 3 -1, d = 2.244 Å, 40.2°, rel. 77.3
hkl 0 6 0, d = 2.167 Å, 41.7°, rel. 22.4
hkl 1 3 3, d = 1.884 Å, 48.3°, rel. 19.1
hkl 4 0 0, d = 1.828 Å, 49.9°, rel. 18.3

Atomic structure:
```
data_Na6SeI2Br2
_chemical_formula_sum 'Na12 Se2 I4 Br4'
_space_group_name_H-M_alt 'C 1 2/m 1'
_space_group_IT_number 12
_space_group_name_Hall '-C 2y'
_cell_length_a 7.874
_cell_length_b 13.003
_cell_length_c 7.882
_cell_angle_alpha 90.00
_cell_angle_beta 111.82
_cell_angle_gamma 90.00
loop_
_atom_site_label
_atom_site_type_symbol
_atom_site_fract_x
_atom_site_fract_y
_atom_site_fract_z
Na1 Na 0.213 0.168 0.202
Na2 Na 0.219 0.000 0.792
Se1 Se 0.000 0.000 0.000
I1 I 0.000 0.179 0.500
Br1 Br 0.000 0.344 0.000
```

Record 3
# NbI3Br3
Theoretical powder X-ray diffraction pattern, a wavelength of 1.5418 Å. Input: the PBE geometry in Alexandria.

Top 10 peaks for 10° ≤ 2θ ≤ 90°, by angle:
hkl 1 1 0, d = 6.173 Å, 14.3°, rel. 47.8
hkl 1 0 1, d = 5.784 Å, 15.3°, rel. 20.5
hkl 3 0 0, d = 3.564 Å, 25.0°, rel. 100.0
hkl 2 1 1, d = 3.484 Å, 25.6°, rel. 16.6
hkl 0 1 2, d = 3.274 Å, 27.2°, rel. 29.6
hkl 1 2 2, d = 2.619 Å, 34.2°, rel. 45.9
hkl 3 1 2, d = 2.246 Å, 40.2°, rel. 43.2
hkl 0 4 2, d = 2.110 Å, 42.9°, rel. 30.5
hkl 3 3 0, d = 2.058 Å, 44.0°, rel. 26.3
hkl 3 4 2, d = 1.565 Å, 59.0°, rel. 13.2

Atomic structure:
```
data_NbI3Br3
_chemical_formula_sum 'Nb3 I9 Br9'
_space_group_name_H-M_alt 'R 3 m'
_space_group_IT_number 160
_space_group_name_Hall 'R 3 -2"'
_cell_length_a 12.3459
_cell_length_b 12.3459
_cell_length_c 6.8776
_cell_angle_alpha 90.00
_cell_angle_beta 90.00
_cell_angle_gamma 120.00
loop_
_atom_site_label
_atom_site_type_symbol
_atom_site_fract_x
_atom_site_fract_y
_atom_site_fract_z
Nb1 Nb 0.0000 0.0000 0.0000
I1 I 0.1981 0.0990 0.2745
Br1 Br 0.1906 0.0953 0.7898
```

Record 4
# NbIBr4
Theoretical powder X-ray diffraction pattern, a wavelength of 1.5418 Å. Input: the PBE geometry in Alexandria.

Top 10 peaks for 10° ≤ 2θ ≤ 90°, by angle:
hkl 0 1 1, d = 4.733 Å, 18.7°, rel. 100.0
hkl 2 1 -1, d = 3.472 Å, 25.7°, rel. 26.1
hkl 2 1 1, d = 3.205 Å, 27.8°, rel. 22.2
hkl 1 1 -2, d = 3.107 Å, 28.7°, rel. 26.6
hkl 1 1 2, d = 2.911 Å, 30.7°, rel. 37.6
hkl 3 1 0, d = 2.787 Å, 32.1°, rel. 29.4
hkl 2 1 -2, d = 2.768 Å, 32.3°, rel. 29.6
hkl 2 2 0, d = 2.573 Å, 34.9°, rel. 40.2
hkl 2 2 -2, d = 2.184 Å, 41.3°, rel. 27.3
hkl 4 0 2, d = 1.877 Å, 48.5°, rel. 20.2

Atomic structure:
```
data_NbIBr4
_chemical_formula_sum 'Nb2 I2 Br8'
_space_group_name_H-M_alt 'P 1 21/c 1'
_space_group_IT_number 14
_space_group_name_Hall '-P 2ybc'
_cell_length_a 9.449
_cell_length_b 6.157
_cell_length_c 7.459
_cell_angle_alpha 90.00
_cell_angle_beta 97.19
_cell_angle_gamma 90.00
loop_
_atom_site_label
_atom_site_type_symbol
_atom_site_fract_x
_atom_site_fract_y
_atom_site_fract_z
Nb1 Nb 0.000 0.000 0.000
I1 I 0.500 0.000 0.000
Br1 Br 0.119 0.245 0.766
Br2 Br 0.224 0.719 0.537
```

Record 5
# Rb2NbI5Br
Theoretical powder X-ray diffraction pattern, a wavelength of 1.5418 Å. Input: the PBE geometry in Alexandria.

Top 10 peaks for 10° ≤ 2θ ≤ 90°, by angle:
hkl 1 0 1, d = 6.657 Å, 13.3°, rel. 16.8
hkl 2 0 2, d = 3.329 Å, 26.8°, rel. 100.0
hkl 2 2 0, d = 2.945 Å, 30.3°, rel. 55.8
hkl 0 0 4, d = 2.769 Å, 32.3°, rel. 23.5
hkl 4 0 0, d = 2.083 Å, 43.5°, rel. 20.2
hkl 2 2 4, d = 2.017 Å, 44.9°, rel. 36.6
hkl 4 2 2, d = 1.766 Å, 51.8°, rel. 30.4
hkl 2 0 6, d = 1.687 Å, 54.4°, rel. 13.2
hkl 4 0 4, d = 1.664 Å, 55.2°, rel. 19.5
hkl 6 2 4, d = 1.189 Å, 80.8°, rel. 12.4

Atomic structure:
```
data_Rb2NbI5Br
_chemical_formula_sum 'Rb4 Nb2 I10 Br2'
_space_group_name_H-M_alt 'I 4 m m'
_space_group_IT_number 107
_space_group_name_Hall 'I 4 -2'
_cell_length_a 8.330
_cell_length_b 8.330
_cell_length_c 11.074
_cell_angle_alpha 90.00
_cell_angle_beta 90.00
_cell_angle_gamma 90.00
loop_
_atom_site_label
_atom_site_type_symbol
_atom_site_fract_x
_atom_site_fract_y
_atom_site_fract_z
Rb1 Rb 0.000 0.500 0.000
Nb1 Nb 0.000 0.000 0.253
I1 I 0.000 0.000 0.001
I2 I 0.241 0.241 0.250
Br1 Br 0.000 0.000 0.485
```

Record 6
# Nd2IBr2
Theoretical powder X-ray diffraction pattern, a wavelength of 1.5418 Å. Input: the PBE geometry in Alexandria.

Top 10 peaks for 10° ≤ 2θ ≤ 90°, by angle:
hkl 1 0 1, d = 6.561 Å, 13.5°, rel. 25.1
hkl 2 1 1, d = 3.395 Å, 26.3°, rel. 100.0
hkl 0 0 4, d = 2.918 Å, 30.6°, rel. 36.5
hkl 2 2 0, d = 2.805 Å, 31.9°, rel. 24.7
hkl 2 1 3, d = 2.622 Å, 34.2°, rel. 59.6
hkl 3 2 1, d = 2.162 Å, 41.8°, rel. 19.7
hkl 2 2 4, d = 2.022 Å, 44.8°, rel. 29.2
hkl 4 0 0, d = 1.984 Å, 45.7°, rel. 27.8
hkl 3 2 3, d = 1.915 Å, 47.5°, rel. 16.3
hkl 4 0 4, d = 1.640 Å, 56.1°, rel. 24.3

Atomic structure:
```
data_Nd2IBr2
_chemical_formula_sum 'Nd8 I4 Br8'
_space_group_name_H-M_alt 'I 41 m d'
_space_group_IT_number 109
_space_group_name_Hall 'I 4bw -2'
_cell_length_a 7.934
_cell_length_b 7.934
_cell_length_c 11.670
_cell_angle_alpha 90.00
_cell_angle_beta 90.00
_cell_angle_gamma 90.00
loop_
_atom_site_label
_atom_site_type_symbol
_atom_site_fract_x
_atom_site_fract_y
_atom_site_fract_z
Nd1 Nd 0.000 0.250 0.000
I1 I 0.000 0.000 0.547
Br1 Br 0.000 0.223 0.263
```

Record 7
# Nd3IBr7
Theoretical powder X-ray diffraction pattern, a wavelength of 1.5418 Å. Input: the PBE geometry in Alexandria.

Top 10 peaks for 10° ≤ 2θ ≤ 90°, by angle:
hkl 2 0 0, d = 7.427 Å, 11.9°, rel. 23.8
hkl 0 0 1, d = 7.242 Å, 12.2°, rel. 50.4
hkl 4 0 1, d = 3.305 Å, 27.0°, rel. 100.0
hkl 4 0 2, d = 2.593 Å, 34.6°, rel. 59.7
hkl 6 2 0, d = 2.144 Å, 42.1°, rel. 36.1
hkl 2 2 3, d = 2.024 Å, 44.8°, rel. 27.3
hkl 4 4 1, d = 1.799 Å, 50.8°, rel. 16.8
hkl 8 0 -2, d = 1.652 Å, 55.6°, rel. 14.8
hkl 6 2 4, d = 1.383 Å, 67.7°, rel. 13.6
hkl 10 2 1, d = 1.378 Å, 68.0°, rel. 13.5

Atomic structure:
```
data_Nd3IBr7
_chemical_formula_sum 'Nd6 I2 Br14'
_space_group_name_H-M_alt 'C 1 m 1'
_space_group_IT_number 8
_space_group_name_Hall 'C -2y'
_cell_length_a 14.846
_cell_length_b 8.581
_cell_length_c 7.242
_cell_angle_alpha 90.00
_cell_angle_beta 90.01
_cell_angle_gamma 90.00
loop_
_atom_site_label
_atom_site_type_symbol
_atom_site_fract_x
_atom_site_fract_y
_atom_site_fract_z
Nd1 Nd 0.000 0.000 0.000
Nd2 Nd 0.251 0.251 0.000
I1 I 0.168 0.000 0.278
Br1 Br 0.087 0.240 0.777
Br2 Br 0.174 0.500 0.224
Br3 Br 0.328 0.000 0.778
Br4 Br 0.334 0.500 0.759
Br5 Br 0.414 0.261 0.224
```

Record 8
# NdIBr3
Theoretical powder X-ray diffraction pattern, a wavelength of 1.5418 Å. Input: the PBE geometry in Alexandria.

Top 10 peaks for 10° ≤ 2θ ≤ 90°, by angle:
hkl 0 1 1, d = 6.317 Å, 14.0°, rel. 55.7
hkl 1 1 0, d = 6.044 Å, 14.7°, rel. 49.2
hkl 2 0 0, d = 4.543 Å, 19.5°, rel. 62.2
hkl 0 1 3, d = 3.110 Å, 28.7°, rel. 100.0
hkl 2 2 0, d = 3.022 Å, 29.6°, rel. 70.7
hkl 3 1 0, d = 2.837 Å, 31.5°, rel. 65.6
hkl 1 3 0, d = 2.587 Å, 34.7°, rel. 77.8
hkl 2 1 3, d = 2.566 Å, 35.0°, rel. 69.0
hkl 1 2 3, d = 2.490 Å, 36.1°, rel. 50.5
hkl 3 2 3, d = 1.968 Å, 46.1°, rel. 54.7

Atomic structure:
```
data_NdIBr3
_chemical_formula_sum 'Nd4 I4 Br12'
_space_group_name_H-M_alt 'I m a 2'
_space_group_IT_number 46
_space_group_name_Hall 'I 2 -2a'
_cell_length_a 9.086
_cell_length_b 8.094
_cell_length_c 10.105
_cell_angle_alpha 90.00
_cell_angle_beta 90.00
_cell_angle_gamma 90.00
loop_
_atom_site_label
_atom_site_type_symbol
_atom_site_fract_x
_atom_site_fract_y
_atom_site_fract_z
Nd1 Nd 0.250 0.093 0.000
I1 I 0.250 0.044 0.682
Br1 Br 0.059 0.706 0.501
Br2 Br 0.250 0.100 0.297
```